Record 1
# MgMn4Zn2S8
Calculated XRD peak list, λ = 1.5418 Å (Cu Kα). Input: DFT lattice parameters and positions (GGA-PBE).
No peak broadening, texture or thermal motion is included.

Most intense lines, 2θ from 15° to 90°, low angle first:
d 3.763, intensity 95
d 3.213, intensity 86
d 3.201, intensity 42
d 2.665, intensity 36
d 2.652, intensity 18
d 2.174, intensity 27
d 2.050, intensity 53
d 2.042, intensity 20
d 1.884, intensity 50
d 1.880, intensity 100

Structure:
abc: 7.5348 7.5408 10.6072
angles: 90.00 90.00 90.00
Space group Imm2 (No. 44)
Inequivalent atoms, fractional coordinates:
Mg 0.0000 0.0000 0.0000 [2 per cell]
Mn 0.0000 0.2835 0.8602 [4 per cell]
Mn 0.2178 0.5000 0.6422 [4 per cell]
Zn 0.0000 0.0000 0.5017 [2 per cell]
Zn 0.0000 0.5000 0.2504 [2 per cell]
S 0.0000 0.2457 0.1234 [4 per cell]
S 0.0000 0.2633 0.6329 [4 per cell]
S 0.2374 0.5000 0.8699 [4 per cell]
S 0.2469 0.0000 0.8780 [4 per cell]

=====

Record 2
# MgMn4Zn2S8
Calculated XRD peak list, λ = 1.5418 Å (Cu Kα). Input: DFT lattice parameters and positions (GGA-PBE).
No peak broadening, texture or thermal motion is included.

Most intense lines, 2θ from 15° to 90°, low angle first:
d 3.807, intensity 29
d 3.426, intensity 89
d 3.065, intensity 73
d 3.039, intensity 53
d 2.940, intensity 31
d 2.498, intensity 41
d 1.927, intensity 26
d 1.904, intensity 100
d 1.780, intensity 29
d 1.753, intensity 27

Structure:
abc: 13.7459 7.0116 7.1201
angles: 90.00 121.18 90.00
Space group Cm (No. 8)
Inequivalent atoms, fractional coordinates:
Mg 0.0000 0.0000 0.0000 [2 per cell]
Mn 0.1956 0.2659 0.1943 [4 per cell]
Mn 0.4152 0.0000 0.1633 [2 per cell]
Mn 0.4164 0.0000 0.6660 [2 per cell]
Zn 0.0384 0.0000 0.5369 [2 per cell]
Zn 0.2436 0.5000 0.7424 [2 per cell]
S 0.1354 0.5000 0.3610 [2 per cell]
S 0.1354 0.5000 0.9076 [2 per cell]
S 0.1564 0.0000 0.9296 [2 per cell]
S 0.1569 0.0000 0.3818 [2 per cell]
S 0.3753 0.2308 0.8740 [4 per cell]
S 0.4047 0.2387 0.4028 [4 per cell]

=====

Record 3
# MgMn4ZnS8
Calculated XRD peak list, λ = 1.5418 Å (Cu Kα). Input: DFT lattice parameters and positions (GGA-PBE).
No peak broadening, texture or thermal motion is included.

Most intense lines, 2θ from 15° to 90°, low angle first:
d 5.903, intensity 39
d 3.618, intensity 32
d 3.094, intensity 49
d 3.078, intensity 99
d 2.569, intensity 35
d 2.551, intensity 69
d 1.977, intensity 25
d 1.964, intensity 49
d 1.810, intensity 100
d 1.804, intensity 50

Structure:
abc: 12.5494 7.2113 7.2186
angles: 90.00 125.03 90.00
Space group Cm (No. 8)
Inequivalent atoms, fractional coordinates:
Mg 0.0000 0.0000 0.0000 [2 per cell]
Mn 0.1238 0.2505 0.6217 [4 per cell]
Mn 0.3730 0.0000 0.1181 [2 per cell]
Mn 0.3740 0.0000 0.6214 [2 per cell]
Zn 0.2494 0.5000 0.2470 [2 per cell]
S 0.1135 0.5000 0.3780 [2 per cell]
S 0.1145 0.5000 0.8438 [2 per cell]
S 0.1364 0.0000 0.4095 [2 per cell]
S 0.1355 0.0000 0.8605 [2 per cell]
S 0.3618 0.2278 0.8585 [4 per cell]
S 0.3832 0.2310 0.3793 [4 per cell]